Record 1
The following is a simulated powder diffraction line list of Cu2Si2Bi. It was derived from a cell relaxed with PBE, using Cu Ka.

Main lines, in order of rising 2θ (2θ = 15–90°):
2θ (°), I (rel.)
23.4, 60
34.3, 52
35.1, 18
35.7, 100
44.3, 36
49.9, 21
50.7, 17
57.2, 25
57.8, 17
75.9, 22

Atomic structure:
```
Cu2Si2Bi
1.0
-2.0436 2.0436 5.1137
2.0436 -2.0436 5.1137
2.0436 2.0436 -5.1137
Cu Si Bi
2 2 1
Direct
0.2500 0.7500 0.5000 Cu
0.7500 0.2500 0.5000 Cu
0.1171 0.1171 0.0000 Si
0.8829 0.8829 0.0000 Si
0.5000 0.5000 0.0000 Bi
```

Record 2
The following is a simulated powder diffraction line list of Sm4CuBi2. It was derived from a cell relaxed with PBE, using Cu Ka.

Main lines, in order of rising 2θ (2θ = 15–90°):
2θ (°), I (rel.)
26.6, 100
26.8, 52
34.3, 24
34.6, 24
35.1, 61
40.9, 44
41.3, 24
50.0, 19
54.7, 13
71.3, 13

Atomic structure:
```
Sm4CuBi2
1.0
7.8864 -2.1845 0.0000
7.8864 2.1845 0.0000
-3.5397 0.0000 6.7951
Sm Cu Bi
4 1 2
Direct
0.1104 0.1104 0.4262 Sm
0.3834 0.3834 0.0259 Sm
0.6166 0.6166 0.9741 Sm
0.8896 0.8896 0.5738 Sm
0.0000 0.0000 0.0000 Cu
0.2646 0.2646 0.2651 Bi
0.7354 0.7354 0.7349 Bi
```

Record 3
The following is a simulated powder diffraction line list of SrCuBi. It was derived from a cell relaxed with PBE, using Cu Ka.

Main lines, in order of rising 2θ (2θ = 15–90°):
2θ (°), I (rel.)
22.2, 41
24.4, 23
26.3, 52
30.8, 24
36.2, 100
37.6, 54
45.3, 18
53.8, 16
54.2, 19
66.9, 33

Atomic structure:
```
SrCuBi
1.0
3.3849 -3.3893 0.0000
3.3849 3.3893 0.0000
0.0000 0.0000 7.2900
Sr Cu Bi
2 2 2
Direct
0.0000 0.0000 0.0000 Sr
0.5000 0.5000 0.4097 Sr
0.0000 0.5000 0.7045 Cu
0.5000 0.0000 0.7045 Cu
0.0000 0.0000 0.4884 Bi
0.5000 0.5000 0.9212 Bi
```

Record 4
The following is a simulated powder diffraction line list of Sr3CuBi. It was derived from a cell relaxed with PBE, using Cu Ka.

Main lines, in order of rising 2θ (2θ = 15–90°):
2θ (°), I (rel.)
24.7, 27
26.4, 100
27.9, 28
28.2, 28
30.9, 29
31.2, 36
32.0, 80
35.6, 50
39.7, 42
51.3, 28

Atomic structure:
```
Sr3CuBi
1.0
4.5381 0.0000 0.0000
-2.2663 8.8840 0.0000
-0.0006 -0.2387 9.2757
Sr Cu Bi
6 2 2
Direct
0.0000 0.0000 0.0000 Sr
0.0889 0.1779 0.3604 Sr
0.2906 0.5821 0.9878 Sr
0.4344 0.8705 0.6208 Sr
0.6539 0.3088 0.7398 Sr
0.7980 0.5962 0.3734 Sr
0.2652 0.5339 0.6398 Cu
0.8211 0.6459 0.7218 Cu
0.4331 0.8660 0.2539 Bi
0.6561 0.3121 0.1068 Bi
```

Record 5
The following is a simulated powder diffraction line list of Tb5Cu2Bi. It was derived from a cell relaxed with PBE, using Cu Ka.

Main lines, in order of rising 2θ (2θ = 15–90°):
2θ (°), I (rel.)
25.8, 21
31.6, 50
32.4, 76
35.4, 100
51.0, 11
53.7, 15
56.3, 20
66.0, 14
66.4, 14
68.4, 15

Atomic structure:
```
Tb5Cu2Bi
1.0
-4.0061 4.0061 6.5252
4.0061 -4.0061 6.5252
4.0061 4.0061 -6.5252
Tb Cu Bi
10 4 2
Direct
0.0000 0.0000 0.0000 Tb
0.0129 0.5129 0.8056 Tb
0.2073 0.0129 0.5000 Tb
0.2927 0.7927 0.8056 Tb
0.4871 0.2927 0.5000 Tb
0.5000 0.5000 0.0000 Tb
0.5129 0.7073 0.5000 Tb
0.7073 0.2073 0.1944 Tb
0.7927 0.9871 0.5000 Tb
0.9871 0.4871 0.1944 Tb
0.1325 0.3675 0.5000 Cu
0.3675 0.8675 0.2349 Cu
0.6325 0.1325 0.7651 Cu
0.8675 0.6325 0.5000 Cu
0.2500 0.2500 0.0000 Bi
0.7500 0.7500 0.0000 Bi
```

Record 6
The following is a simulated powder diffraction line list of CuBiTe2. It was derived from a cell relaxed with PBE, using Cu Ka.

Main lines, in order of rising 2θ (2θ = 15–90°):
2θ (°), I (rel.)
24.3, 25
25.0, 26
25.7, 32
26.3, 100
29.2, 28
35.1, 42
36.7, 39
40.6, 32
43.6, 63
44.7, 28

Atomic structure:
```
CuBiTe2
1.0
7.1155 0.0000 0.0000
0.0000 4.4410 0.0000
0.0000 0.0000 15.6641
Cu Bi Te
4 4 8
Direct
0.2434 0.2500 0.1724 Cu
0.2566 0.7500 0.6724 Cu
0.7434 0.2500 0.3276 Cu
0.7566 0.7500 0.8276 Cu
0.2307 0.7500 0.4499 Bi
0.2693 0.2500 0.9499 Bi
0.7307 0.7500 0.0501 Bi
0.7693 0.2500 0.5501 Bi
0.1064 0.2500 0.3274 Te
0.1296 0.7500 0.1021 Te
0.3704 0.2500 0.6021 Te
0.3936 0.7500 0.8274 Te
0.6064 0.2500 0.1726 Te
0.6296 0.7500 0.3979 Te
0.8704 0.2500 0.8979 Te
0.8936 0.7500 0.6726 Te
```

Record 7
The following is a simulated powder diffraction line list of Tl2Cu2BiTe4. It was derived from a cell relaxed with PBE, using Cu Ka.

Main lines, in order of rising 2θ (2θ = 15–90°):
2θ (°), I (rel.)
21.8, 31
25.7, 42
27.1, 31
29.8, 74
30.0, 100
32.3, 38
34.6, 47
42.7, 37
44.8, 36
53.0, 34

Atomic structure:
```
Tl2Cu2BiTe4
1.0
8.1998 -2.1159 0.0000
8.1998 2.1159 0.0000
-3.2271 0.0000 7.8325
Tl Cu Bi Te
2 2 1 4
Direct
0.1260 0.1260 0.0413 Tl
0.8740 0.8740 0.9587 Tl
0.2987 0.2987 0.4972 Cu
0.7013 0.7013 0.5028 Cu
0.0000 0.0000 0.5000 Bi
0.2068 0.2068 0.6951 Te
0.4674 0.4674 0.7408 Te
0.5326 0.5326 0.2592 Te
0.7932 0.7932 0.3049 Te
```

Record 8
The following is a simulated powder diffraction line list of Th3Cu3Bi4. It was derived from a cell relaxed with PBE, using Cu Ka.

Main lines, in order of rising 2θ (2θ = 15–90°):
2θ (°), I (rel.)
28.2, 60
33.5, 100
40.2, 26
44.3, 19
46.2, 10
56.6, 21
58.2, 12
59.8, 12
62.9, 10
68.8, 11

Atomic structure:
```
Th3Cu3Bi4
1.0
-5.0106 5.0106 5.0106
5.0106 -5.0106 5.0106
5.0106 5.0106 -5.0106
Th Cu Bi
6 6 8
Direct
0.1250 0.8750 0.2500 Th
0.2500 0.1250 0.8750 Th
0.3750 0.6250 0.7500 Th
0.6250 0.7500 0.3750 Th
0.7500 0.3750 0.6250 Th
0.8750 0.2500 0.1250 Th
0.1250 0.7500 0.8750 Cu
0.2500 0.6250 0.3750 Cu
0.3750 0.2500 0.6250 Cu
0.6250 0.3750 0.2500 Cu
0.7500 0.8750 0.1250 Cu
0.8750 0.1250 0.7500 Cu
0.0000 0.1712 0.5000 Bi
0.0000 0.6712 0.5000 Bi
0.1712 0.5000 0.0000 Bi
0.3288 0.3288 0.3288 Bi
0.5000 0.0000 0.1712 Bi
0.5000 0.0000 0.6712 Bi
0.6712 0.5000 0.0000 Bi
0.8288 0.8288 0.8288 Bi
```

Record 9
The following is a simulated powder diffraction line list of Ti6CuBi3. It was derived from a cell relaxed with PBE, using Cu Ka.

Main lines, in order of rising 2θ (2θ = 15–90°):
2θ (°), I (rel.)
26.4, 79
27.1, 54
28.4, 46
32.6, 32
32.7, 29
33.3, 38
36.2, 100
38.5, 43
38.9, 48
41.6, 58

Atomic structure:
```
Ti6CuBi3
1.0
9.1349 0.0000 0.0000
0.0000 4.3403 0.0000
-4.3292 0.0000 10.1079
Ti Cu Bi
12 2 6
Direct
0.0188 0.2500 0.4255 Ti
0.1730 0.7500 0.1337 Ti
0.2575 0.2500 0.0017 Ti
0.3351 0.2500 0.2857 Ti
0.4068 0.7500 0.9002 Ti
0.4556 0.2500 0.5740 Ti
0.5444 0.7500 0.4260 Ti
0.5932 0.2500 0.0998 Ti
0.6649 0.7500 0.7143 Ti
0.7425 0.7500 0.9983 Ti
0.8270 0.2500 0.8663 Ti
0.9812 0.7500 0.5745 Ti
0.4493 0.7500 0.1580 Cu
0.5507 0.2500 0.8420 Cu
0.0265 0.7500 0.8530 Bi
0.2276 0.2500 0.7046 Bi
0.2381 0.7500 0.4333 Bi
0.7619 0.2500 0.5667 Bi
0.7724 0.7500 0.2954 Bi
0.9735 0.2500 0.1470 Bi
```

Record 10
The following is a simulated powder diffraction line list of TmCuBi. It was derived from a cell relaxed with PBE, using Cu Ka.

Main lines, in order of rising 2θ (2θ = 15–90°):
2θ (°), I (rel.)
23.4, 14
31.6, 100
41.1, 44
49.3, 16
52.8, 24
60.8, 16
69.0, 22
71.3, 10
74.9, 8
80.9, 8

Atomic structure:
```
TmCuBi
1.0
4.3898 0.0000 0.0000
-2.1949 3.8016 0.0000
0.0000 0.0000 4.2310
Tm Cu Bi
1 1 1
Direct
0.0000 0.0000 0.0000 Tm
0.3333 0.6667 0.3312 Cu
0.6667 0.3333 0.5271 Bi
```

Record 11
The following is a simulated powder diffraction line list of Tm7Cu2Bi2. It was derived from a cell relaxed with PBE, using Cu Ka.

Main lines, in order of rising 2θ (2θ = 15–90°):
2θ (°), I (rel.)
24.1, 19
29.5, 46
32.7, 68
33.7, 100
34.0, 40
35.6, 24
37.6, 21
44.0, 18
45.4, 30
57.1, 29

Atomic structure:
```
Tm7Cu2Bi2
1.0
-1.9973 7.6385 4.8677
1.9973 -7.6385 4.8677
1.9973 7.6385 -4.8677
Tm Cu Bi
7 2 2
Direct
0.0000 0.0000 0.0000 Tm
0.2908 0.4188 0.8720 Tm
0.3175 0.6273 0.6902 Tm
0.5469 0.4188 0.1280 Tm
0.6336 0.2771 0.3565 Tm
0.9207 0.2771 0.6435 Tm
0.9371 0.6273 0.3098 Tm
0.1700 0.9342 0.2358 Cu
0.6983 0.9342 0.7642 Cu
0.2602 0.7602 0.5000 Bi
0.6678 0.6678 0.0000 Bi
```

Record 12
The following is a simulated powder diffraction line list of Tm12Cu6Bi. It was derived from a cell relaxed with PBE, using Cu Ka.

Main lines, in order of rising 2θ (2θ = 15–90°):
2θ (°), I (rel.)
28.9, 41
31.8, 46
34.4, 100
36.8, 19
47.5, 22
54.8, 33
58.3, 38
67.9, 20
84.2, 16
85.6, 17

Atomic structure:
```
Tm12Cu6Bi
1.0
-4.8807 4.8807 4.8807
4.8807 -4.8807 4.8807
4.8807 4.8807 -4.8807
Tm Cu Bi
12 6 1
Direct
0.1120 0.3021 0.8099 Tm
0.1901 0.4923 0.3021 Tm
0.1901 0.8880 0.6979 Tm
0.3021 0.1901 0.4923 Tm
0.3021 0.8099 0.1120 Tm
0.4923 0.3021 0.1901 Tm
0.5077 0.6979 0.8099 Tm
0.6979 0.1901 0.8880 Tm
0.6979 0.8099 0.5077 Tm
0.8099 0.1120 0.3021 Tm
0.8099 0.5077 0.6979 Tm
0.8880 0.6979 0.1901 Tm
0.1236 0.5000 0.6236 Cu
0.3764 0.8764 0.5000 Cu
0.5000 0.3764 0.8764 Cu
0.5000 0.6236 0.1236 Cu
0.6236 0.1236 0.5000 Cu
0.8764 0.5000 0.3764 Cu
0.0000 0.0000 0.0000 Bi
```